1.
Computed powder X-ray diffraction pattern
Compound: K4Cd2SnGe
Radiation: Cu Kα (λ = 1.5418 Å)
Structure: a GGA-PBE-relaxed structure

Structural model:
Unit cell a=6.432 b=6.816 c=6.816 alpha=104.50 beta=90.00 gamma=90.00
Fractional positions:
1 K 0.000 0.170 0.830
2 K 0.000 0.830 0.170
3 K 0.500 0.112 0.462
4 K 0.500 0.462 0.112
5 Cd 0.257 0.656 0.656
6 Cd 0.743 0.656 0.656
7 Sn 0.000 0.382 0.382
8 Ge 0.500 0.912 0.912

Main lines, in order of falling intensity (10 to 80 degrees two-theta):
- 2θ 30.4, rel. 100
- 2θ 16.4, rel. 97
- 2θ 39.1, rel. 76
- 2θ 13.4, rel. 75
- 2θ 30.9, rel. 70
- 2θ 33.3, rel. 63
- 2θ 35.2, rel. 57
- 2θ 27.0, rel. 57
- 2θ 19.3, rel. 44
- 2θ 50.8, rel. 38



2.
Computed powder X-ray diffraction pattern
Compound: KTlCdGeTe4
Radiation: Cu Kα (λ = 1.5418 Å)
Structure: a GGA-PBE-relaxed structure

Structural model:
Unit cell a=7.100 b=7.100 c=7.100 alpha=118.52 beta=106.17 gamma=104.13
Fractional positions:
1 K 0.000 0.000 0.000
2 Tl 0.000 0.500 0.500
3 Cd 0.500 0.000 0.500
4 Ge 0.500 0.500 0.000
5 Te 0.158 0.105 0.604
6 Te 0.499 0.895 0.052
7 Te 0.501 0.553 0.396
8 Te 0.842 0.447 0.948

Main lines, in order of falling intensity (10 to 80 degrees two-theta):
- 2θ 26.0, rel. 100
- 2θ 32.1, rel. 76
- 2θ 32.4, rel. 76
- 2θ 26.3, rel. 75
- 2θ 29.3, rel. 70
- 2θ 44.6, rel. 39
- 2θ 51.5, rel. 23
- 2θ 15.9, rel. 21
- 2θ 16.0, rel. 21
- 2θ 45.5, rel. 21



3.
Computed powder X-ray diffraction pattern
Compound: Li4CdNiGe2
Radiation: Cu Kα (λ = 1.5418 Å)
Structure: a GGA-PBE-relaxed structure

Structural model:
Unit cell a=4.272 b=4.272 c=6.246 alpha=90.00 beta=90.00 gamma=90.00
Fractional positions:
1 Li 0.000 0.000 0.000
2 Li 0.000 0.500 0.723
3 Li 0.500 0.000 0.277
4 Li 0.500 0.500 0.500
5 Cd 0.500 0.500 0.000
6 Ni 0.000 0.000 0.500
7 Ge 0.000 0.500 0.288
8 Ge 0.500 0.000 0.712

Main lines, in order of falling intensity (10 to 80 degrees two-theta):
- 2θ 25.3, rel. 100
- 2θ 41.6, rel. 61
- 2θ 42.3, rel. 32
- 2θ 49.9, rel. 30
- 2θ 76.9, rel. 19
- 2θ 48.7, rel. 14
- 2θ 61.4, rel. 10
- 2θ 66.4, rel. 10
- 2θ 32.9, rel. 8
- 2θ 75.4, rel. 7



4.
Computed powder X-ray diffraction pattern
Compound: Li4ZnCdGe2
Radiation: Cu Kα (λ = 1.5418 Å)
Structure: a GGA-PBE-relaxed structure

Structural model:
Unit cell a=4.454 b=4.454 c=6.312 alpha=90.00 beta=90.00 gamma=90.00
Fractional positions:
1 Li 0.000 0.000 0.000
2 Li 0.000 0.500 0.236
3 Li 0.500 0.000 0.764
4 Li 0.500 0.500 0.500
5 Zn 0.500 0.500 0.000
6 Cd 0.000 0.000 0.500
7 Ge 0.000 0.500 0.767
8 Ge 0.500 0.000 0.233

Main lines, in order of falling intensity (10 to 80 degrees two-theta):
- 2θ 24.5, rel. 100
- 2θ 40.5, rel. 98
- 2θ 47.9, rel. 47
- 2θ 73.6, rel. 31
- 2θ 64.4, rel. 18
- 2θ 58.6, rel. 11
- 2θ 79.0, rel. 10
- 2θ 58.5, rel. 5
- 2θ 31.8, rel. 4
- 2θ 78.8, rel. 3